Theoretical XRD peak list
Compound: Mn2SbO4
Radiation: Cu Kα (λ = 1.5418 Å)
Structure: a DFT-relaxed cell (PBE+U, Alexandria)
Lines closer than 0.1° are merged.

Most intense lines, 2θ = 10–80°, sorted by position:
2θ (°), intensity
27.89, 57
32.82, 100
49.33, 23
52.55, 36
57.62, 39
79.21, 12

Crystal structure
```
data_Mn2SbO4
_chemical_formula_sum 'Mn8 Sb4 O16'
_cell_length_a 6.4011
_cell_length_b 6.4011
_cell_length_c 9.0430
_cell_angle_alpha 90.00
_cell_angle_beta 90.00
_cell_angle_gamma 90.00
_space_group_name_H-M_alt 'I 41/a m d'
_space_group_IT_number 141
loop_
_space_group_symop_operation_xyz
'x,y,z'
'-x,-y,-z'
'-y+1/4,x+3/4,z+1/4'
'y+1/4,-x+3/4,-z+1/4'
'-x+1/2,-y,z+1/2'
'x+1/2,y,-z+1/2'
'y+1/4,-x+1/4,z+3/4'
'-y+1/4,x+1/4,-z+3/4'
'x,-y,-z'
'-x,y,z'
'-y+1/4,-x+1/4,-z+3/4'
'y+1/4,x+1/4,z+3/4'
'-x+1/2,y,-z+1/2'
'x+1/2,-y,z+1/2'
'y+1/4,x+3/4,-z+1/4'
'-y+1/4,-x+3/4,z+1/4'
'x+1/2,y+1/2,z+1/2'
'-x+1/2,-y+1/2,-z+1/2'
'-y+3/4,x+1/4,z+3/4'
'y+3/4,-x+1/4,-z+3/4'
'-x,-y+1/2,z'
'x,y+1/2,-z'
'y+3/4,-x+3/4,z+1/4'
'-y+3/4,x+3/4,-z+1/4'
'x+1/2,-y+1/2,-z+1/2'
'-x+1/2,y+1/2,z+1/2'
'-y+3/4,-x+3/4,-z+1/4'
'y+3/4,x+3/4,z+1/4'
'-x,y+1/2,-z'
'x,-y+1/2,z'
'y+3/4,x+1/4,-z+3/4'
'-y+3/4,-x+1/4,z+3/4'
loop_
_atom_site_label
_atom_site_fract_x
_atom_site_fract_y
_atom_site_fract_z
Mn1 0.0000 0.0000 0.0000
Sb1 0.0000 0.2500 0.3750
O1 0.0000 0.0134 0.7565
```